Entry 1:
Calculated X-ray diffraction stick pattern
Compound: PrAuSeO
Radiation: Cu Ka
Structure: DFT lattice parameters and positions (GGA-PBE)
Lines closer than 0.1° are merged.

Most intense lines, 2θ = 15–90°, in order of rising 2θ:
d (Å)  I/Imax
4.784  42
3.126  93
2.921  100
2.791  96
2.524  46
2.491  75
2.154  46
2.018  77
1.896  46
1.600  42

Crystal structure
Unit cell a=5.8352 b=9.5687 c=5.8430 alpha=90.00 beta=90.00 gamma=90.00
Atoms (fractional coordinates):
Pr 0.0000 0.1241 0.2500
Pr 0.0000 0.8759 0.7500
Pr 0.5000 0.1241 0.7500
Pr 0.5000 0.8759 0.2500
Au 0.2500 0.5000 0.2394
Au 0.2500 0.5000 0.7394
Au 0.7500 0.5000 0.2606
Au 0.7500 0.5000 0.7606
Se 0.0000 0.2852 0.7500
Se 0.0000 0.7148 0.2500
Se 0.5000 0.2852 0.2500
Se 0.5000 0.7148 0.7500
O 0.2500 0.0000 0.0012
O 0.2500 0.0000 0.5012
O 0.7500 0.0000 0.4988
O 0.7500 0.0000 0.9988



Entry 2:
Calculated X-ray diffraction stick pattern
Compound: PrAuSeO
Radiation: Cu Ka
Structure: DFT lattice parameters and positions (GGA-PBE)
Lines closer than 0.1° are merged.

Most intense lines, 2θ = 15–90°, in order of rising 2θ:
d (Å)  I/Imax
4.775  42
3.127  92
2.925  100
2.799  96
2.523  45
2.496  75
2.154  46
2.022  77
1.899  46
1.600  53

Crystal structure
Unit cell a=5.8501 b=5.8564 c=9.5498 alpha=90.00 beta=90.00 gamma=90.00
Atoms (fractional coordinates):
Pr 0.0000 0.0000 0.0000
Pr 0.0000 0.5000 0.2478
Pr 0.5000 0.0000 0.2478
Pr 0.5000 0.5000 0.0000
Au 0.0045 0.2494 0.6240
Au 0.4955 0.7494 0.6240
Au 0.5045 0.2506 0.6240
Au 0.9955 0.7506 0.6240
Se 0.0000 0.0000 0.4090
Se 0.0000 0.5000 0.8383
Se 0.5000 0.0000 0.8383
Se 0.5000 0.5000 0.4090
O 0.2499 0.2499 0.1238
O 0.2501 0.7499 0.1238
O 0.7499 0.2501 0.1238
O 0.7501 0.7501 0.1238



Entry 3:
Calculated X-ray diffraction stick pattern
Compound: PrAuSeO
Radiation: Cu Ka
Structure: DFT lattice parameters and positions (GGA-PBE)
Lines closer than 0.1° are merged.

Most intense lines, 2θ = 15–90°, in order of rising 2θ:
d (Å)  I/Imax
4.783  42
3.130  92
2.928  100
2.797  95
2.526  45
2.495  75
2.157  46
2.022  77
1.899  46
1.602  42

Crystal structure
Unit cell a=19.1326 b=4.1384 c=4.1384 alpha=89.92 beta=90.00 gamma=90.00
Atoms (fractional coordinates):
Pr 0.0620 0.2501 0.7499
Pr 0.4380 0.7501 0.2499
Pr 0.5620 0.2499 0.7501
Pr 0.9380 0.7499 0.2501
Au 0.2499 0.0048 0.0006
Au 0.2501 0.5048 0.5006
Au 0.7501 0.0006 0.0048
Au 0.7499 0.5006 0.5048
Se 0.1428 0.7519 0.2494
Se 0.3572 0.2519 0.7494
Se 0.6428 0.7494 0.2519
Se 0.8572 0.2494 0.7519
O 0.0000 0.2500 0.2500
O 0.0000 0.7501 0.7501
O 0.5000 0.2501 0.2501
O 0.5000 0.7500 0.7500



Entry 4:
Calculated X-ray diffraction stick pattern
Compound: RbPtAu3O4
Radiation: Cu Ka
Structure: DFT lattice parameters and positions (GGA-PBE)
Lines closer than 0.1° are merged.

Most intense lines, 2θ = 15–90°, in order of rising 2θ:
d (Å)  I/Imax
5.615  80
3.242  73
2.808  100
2.511  39
1.985  98
1.872  23
1.693  34
1.621  28
1.256  37
1.146  33

Crystal structure
Unit cell a=5.6154 b=5.6154 c=5.6154 alpha=90.00 beta=90.00 gamma=90.00
Atoms (fractional coordinates):
Rb 0.0000 0.0000 0.0000
Pt 0.5000 0.5000 0.5000
Au 0.0000 0.5000 0.5000
Au 0.5000 0.0000 0.5000
Au 0.5000 0.5000 0.0000
O 0.2762 0.2762 0.2762
O 0.2762 0.7238 0.7238
O 0.7238 0.2762 0.7238
O 0.7238 0.7238 0.2762